Starting from DFT lattice parameters and positions (GGA-PBE), the PXRD pattern of Al2V2Rh was computed for λ = 1.5418 Å (Cu Kα).
Kinematic intensities with the Lorentz-polarization factor, no thermal factor.

Cell and atoms:
```
data_Al2V2Rh
_symmetry_space_group_name_H-M 'P 4/m b m'
_symmetry_Int_Tables_number 127
_symmetry_space_group_name_Hall '-P 4 2ab'
_cell_length_a 6.4600
_cell_length_b 6.4600
_cell_length_c 3.5106
_cell_angle_alpha 90.00
_cell_angle_beta 90.00
_cell_angle_gamma 90.00
loop_
_atom_site_label
_atom_site_fract_x
_atom_site_fract_y
_atom_site_fract_z
_atom_site_occupancy
Al1 0.1387 0.3613 0.0000 1
V1 0.1625 0.6625 0.5000 1
Rh1 0.0000 0.0000 0.0000 1
```

Main lines, low angle first (10 to 80 degrees two-theta):
2θ 19.4, intensity 37
2θ 32.2, intensity 86
2θ 37.8, intensity 90
2θ 39.5, intensity 33
2θ 40.4, intensity 100
2θ 44.3, intensity 99
2θ 51.8, intensity 26
2θ 52.1, intensity 29
2θ 67.0, intensity 20
2θ 70.8, intensity 47